Computed X-ray powder pattern of Fe2CoMo for Cu Kα, 1.54184 Å, from a cell relaxed with PBE.
Neutral-atom scattering factors, no anomalous dispersion.

Structural model:
a = 2.841 Å, b = 2.841 Å, c = 6.157 Å
α = 90.00°, β = 90.00°, γ = 90.00°
Space group P4mm (No. 99)
Symmetry-distinct sites (fractional):
Fe (0.000, 0.000, 0.000) x1
Fe (0.500, 0.500, 0.228) x1
Co (0.500, 0.500, 0.773) x1
Mo (0.000, 0.000, 0.496) x1

Peak list (12 most intense, 10° ≤ 2θ ≤ 90°, sorted by position)
2θ (°)  d_spacing  I/Imax  h k l
14.4  6.157  2  0 0 1
31.5  2.841  2  1 0 0
34.8  2.580  8  1 0 1
43.3  2.088  100  1 0 2
44.1  2.052  3  0 0 3
45.1  2.009  46  1 1 0
60.1  1.539  8  0 0 4
65.0  1.436  3  1 1 3
65.7  1.420  14  2 0 0
78.2  1.222  14  1 1 4
82.1  1.174  28  2 1 2
86.1  1.130  3  1 0 5